Starting from a structure optimized by DFT (GGA+U), the X-ray powder pattern of Mn2CrP3O12 was calculated for Cu Kα (λ = 1.5418 Å).

Peak list (8 most intense, 10 to 90 degrees two-theta, in order of rising 2θ)
| Position (°2θ) | d_spacing | Rel. int. | (hkl) |
| --- | --- | --- | --- |
| 20.53 | 4.327 | 72.6 | 1 1 0 |
| 24.38 | 3.651 | 100.0 | 1 1 3 |
| 33.50 | 2.675 | 62.7 | 1 1 6 |
| 35.95 | 2.498 | 39.5 | 3 0 0 |
| 47.98 | 1.896 | 26.3 | 1 2 8 |
| 49.95 | 1.826 | 25.8 | 2 2 6 |
| 56.25 | 1.635 | 21.3 | 4 1 0 |
| 63.07 | 1.474 | 21.7 | 4 1 6 |

Cell and atoms:
```
data_Mn2CrP3O12
_space_group_name_H-M_alt 'R -3 c'
_space_group_IT_number 167
_space_group_name_Hall '-R 3 2"c'
_cell_length_a 8.6534
_cell_length_b 8.6534
_cell_length_c 20.4198
_cell_angle_alpha 90.00
_cell_angle_beta 90.00
_cell_angle_gamma 120.00
loop_
_atom_site_label
_atom_site_type_symbol
_atom_site_fract_x
_atom_site_fract_y
_atom_site_fract_z
Mn1 Mn 0.0000 0.0000 0.1452
Cr1 Cr 0.0000 0.0000 0.0000
P1 P 0.0000 0.2992 0.2500
O1 O 0.0074 0.2074 0.3123
O2 O 0.0077 0.1750 0.9280
```